# CePu4P5
Calculated X-ray powder pattern, Cu Kα (λ = 1.5418 Å). Input: a crystal structure in Alexandria, relaxed with GGA-PBE.
Kinematic intensities with the Lorentz-polarization factor, no thermal factor.

Structure:
```
data_CePu4P5
_chemical_formula_sum 'Ce2 Pu8 P10'
_cell_length_a 4.0289
_cell_length_b 5.6910
_cell_length_c 20.0901
_cell_angle_alpha 90.00
_cell_angle_beta 90.00
_cell_angle_gamma 90.00
_space_group_name_H-M_alt 'I m m m'
_space_group_IT_number 71
_space_group_name_Hall '-I 2 2'
loop_
_atom_site_label
_atom_site_type_symbol
_atom_site_fract_x
_atom_site_fract_y
_atom_site_fract_z
Ce1 Ce 0.0000 0.0000 0.0000
Pu1 Pu 0.0000 0.0000 0.2015
Pu2 Pu 0.0000 0.0000 0.3995
P1 P 0.0000 0.5000 0.0000
P2 P 0.0000 0.5000 0.1993
P3 P 0.0000 0.5000 0.3973
```

The 6 most intense peaks (2θ = 10–80°), in order of rising 2θ:
d_spacing  two_theta  Rel. int.  index
3.285  27.14  100  1 1 0
2.845  31.44  94  1 0 5
2.012  45.05  58  2 0 0
1.716  53.40  50  2 1 5
1.644  55.92  12  2 2 0
1.273  74.56  27  3 0 5